Record 1
Ce3Ir2Pd: computed powder diffraction line list (Cu Kα, 1.54184 Å), based on a structure optimized by DFT (GGA-PBE).
No peak broadening, texture or thermal motion is included.

Main lines, low angle first (5 to 70 degrees two-theta):
| 2theta | Rel. int. | h k l |
| --- | --- | --- |
| 14.5 | 2 | 2 0 0 |
| 17.1 | 3 | 1 1 0 |
| 23.1 | 1 | 0 0 2 |
| 26.9 | 1 | 3 1 0 |
| 31.1 | 100 | 0 2 0 |
| 40.1 | 2 | 3 1 2 |
| 44.6 | 74 | 2 0 -4 |
| 48.1 | 1 | 1 3 0 |
| 55.0 | 1 | 7 1 0 |
| 55.4 | 26 | 2 2 -4 |
| 64.9 | 8 | 4 0 4 |
| 65.0 | 4 | 0 4 0 |

Structural model:
```
data_Ce3Ir2Pd
_cell_length_a 12.8708
_cell_length_b 5.7412
_cell_length_c 8.1245
_cell_angle_alpha 90.00
_cell_angle_beta 108.42
_cell_angle_gamma 90.00
_space_group_name_H-M_alt 'C 1 2/c 1'
_space_group_IT_number 15
loop_
_space_group_symop_operation_xyz
'x,y,z'
'-x,-y,-z'
'-x,y,-z+1/2'
'x,-y,z+1/2'
'x+1/2,y+1/2,z'
'-x+1/2,-y+1/2,-z'
'-x+1/2,y+1/2,-z+1/2'
'x+1/2,-y+1/2,z+1/2'
loop_
_atom_site_label
_atom_site_fract_x
_atom_site_fract_y
_atom_site_fract_z
Ce1 0.0000 0.0013 0.2500
Ce2 0.1760 0.4995 0.0880
Ir1 0.1627 0.9996 0.0813
Pd1 0.0000 0.4986 0.7500
```

=====

Record 2
Ce6Ir3Pd: computed powder diffraction line list (Cu Kα, 1.54184 Å), based on a structure optimized by DFT (GGA-PBE).
No peak broadening, texture or thermal motion is included.

Main lines, low angle first (5 to 70 degrees two-theta):
| 2theta | Rel. int. | h k l |
| --- | --- | --- |
| 24.3 | 36 | 1 1 1 |
| 25.1 | 36 | 1 1 -3 |
| 28.3 | 46 | 2 1 -2 |
| 29.3 | 38 | 2 1 -1 |
| 29.8 | 57 | 1 0 -4 |
| 32.1 | 100 | 1 2 1 |
| 36.1 | 30 | 2 2 -1 |
| 36.7 | 32 | 2 2 -3 |
| 38.5 | 43 | 1 3 -1 |
| 43.8 | 36 | 3 1 -1 |
| 45.3 | 46 | 3 1 -5 |
| 52.3 | 28 | 2 1 3 |

Structural model:
```
data_Ce6Ir3Pd
_cell_length_a 6.9770
_cell_length_b 7.4487
_cell_length_c 12.1004
_cell_angle_alpha 90.00
_cell_angle_beta 122.49
_cell_angle_gamma 90.00
_space_group_name_H-M_alt 'P 1 21/c 1'
_space_group_IT_number 14
loop_
_space_group_symop_operation_xyz
'x,y,z'
'-x,-y,-z'
'-x,y+1/2,-z+1/2'
'x,-y+1/2,z+1/2'
loop_
_atom_site_label
_atom_site_fract_x
_atom_site_fract_y
_atom_site_fract_z
Ce1 0.0613 0.0779 0.2465
Ce2 0.2545 0.6776 0.0931
Ce3 0.3926 0.1684 0.0671
Ir1 0.0000 0.0000 0.0000
Ir2 0.3152 0.1114 0.7818
Pd1 0.5000 0.0000 0.5000
```

=====

Record 3
CePm5Ir4: computed powder diffraction line list (Cu Kα, 1.54184 Å), based on a structure optimized by DFT (GGA-PBE).
No peak broadening, texture or thermal motion is included.

Main lines, low angle first (5 to 70 degrees two-theta):
| 2theta | Rel. int. | h k l |
| --- | --- | --- |
| 19.3 | 15 | 4 0 -1 |
| 20.7 | 13 | 4 0 0 |
| 26.3 | 17 | 1 1 1 |
| 31.2 | 46 | 6 0 0 |
| 32.1 | 100 | 3 1 -2 |
| 41.3 | 74 | 3 1 2 |
| 43.0 | 25 | 0 2 0 |
| 47.5 | 22 | 4 0 -4 |
| 49.1 | 16 | 9 1 -2 |
| 54.1 | 21 | 6 2 0 |
| 58.0 | 15 | 10 0 -4 |
| 66.0 | 14 | 4 2 -4 |

Structural model:
```
data_CePm5Ir4
_cell_length_a 18.8220
_cell_length_b 4.2031
_cell_length_c 7.6523
_cell_angle_alpha 90.00
_cell_angle_beta 113.94
_cell_angle_gamma 90.00
_space_group_name_H-M_alt 'C 1 2/m 1'
_space_group_IT_number 12
loop_
_space_group_symop_operation_xyz
'x,y,z'
'-x,-y,-z'
'-x,y,-z'
'x,-y,z'
'x+1/2,y+1/2,z'
'-x+1/2,-y+1/2,-z'
'-x+1/2,y+1/2,-z'
'x+1/2,-y+1/2,z'
loop_
_atom_site_label
_atom_site_fract_x
_atom_site_fract_y
_atom_site_fract_z
Ce1 0.0000 0.0000 0.0000
Pm1 0.0000 0.0000 0.5000
Pm2 0.1653 0.5000 0.4091
Pm3 0.1653 0.5000 0.9222
Ir1 0.0000 0.5000 0.2397
Ir2 0.1989 0.0000 0.1991
```

=====

Record 4
Ce4Pm3Ir4: computed powder diffraction line list (Cu Kα, 1.54184 Å), based on a structure optimized by DFT (GGA-PBE).
No peak broadening, texture or thermal motion is included.

Main lines, low angle first (5 to 70 degrees two-theta):
| 2theta | Rel. int. | h k l |
| --- | --- | --- |
| 31.0 | 100 | 1 2 1 |
| 31.3 | 24 | 0 1 5 |
| 32.3 | 46 | 1 1 4 |
| 34.8 | 20 | 0 0 6 |
| 35.2 | 15 | 1 2 3 |
| 38.5 | 41 | 2 0 0 |
| 42.5 | 58 | 0 2 6 |
| 45.4 | 16 | 1 0 7 |
| 46.5 | 16 | 0 3 5 |
| 50.4 | 13 | 2 1 5 |
| 62.0 | 14 | 2 3 5 |
| 69.9 | 12 | 1 5 4 |

Structural model:
```
data_Ce4Pm3Ir4
_cell_length_a 4.6730
_cell_length_b 7.5478
_cell_length_c 15.4608
_cell_angle_alpha 90.00
_cell_angle_beta 90.00
_cell_angle_gamma 90.00
_space_group_name_H-M_alt 'I m m m'
_space_group_IT_number 71
_space_group_name_Hall '-I 2 2'
loop_
_atom_site_label
_atom_site_fract_x
_atom_site_fract_y
_atom_site_fract_z
Ce1 0.0000 0.2174 0.1646
Pm1 0.0000 0.0000 0.4003
Pm2 0.0000 0.5000 0.5000
Ir1 0.0000 0.3102 0.0000
Ir2 0.0000 0.5000 0.2962
```